Entry 1:
Cs3HfCl7: theoretical PXRD pattern (Cu Kα (λ = 1.5418 Å)), based on DFT lattice parameters and positions (GGA-PBE).
Neutral-atom scattering factors, no anomalous dispersion.

Main lines, in order of rising 2θ (15 to 90 degrees two-theta):
two_theta	intensity	(hkl)
20.9	100	2 0 1
24.0	32	0 0 2
24.2	50	2 2 0
30.9	53	2 1 2
34.4	39	2 2 2
46.1	25	4 2 2

Structure:
abc: 10.3982 10.3982 7.4126
angles: 90.00 90.00 90.00
Space group P4/mbm (No. 127)
Asymmetric unit:
Cs (0.0000, 0.0000, 0.0000)
Cs (0.1806, 0.3194, 0.5000)
Hf (0.0000, 0.5000, 0.0000)
Cl (0.0000, 0.0000, 0.5000)
Cl (0.1168, 0.6168, 0.2373)
Cl (0.1673, 0.3327, 0.0000)



Entry 2:
Cs2HfI4Cl2: theoretical PXRD pattern (Cu Kα (λ = 1.5418 Å)), based on DFT lattice parameters and positions (GGA-PBE).
Neutral-atom scattering factors, no anomalous dispersion.

Main lines, in order of rising 2θ (15 to 90 degrees two-theta):
two_theta	intensity	(hkl)
18.6	43	1 1 1
22.4	27	3 1 0
27.4	100	2 2 -1
29.1	37	2 2 1
35.0	23	2 2 -2
45.6	29	6 2 0

Structure:
abc: 13.6981 8.3427 6.9341
angles: 90.00 97.97 90.00
Space group C2/m (No. 12)
Asymmetric unit:
Cs (0.1628, 0.0000, 0.2890)
Hf (0.0000, 0.5000, 0.0000)
I (0.0948, 0.2546, 0.7994)
Cl (0.1394, 0.5000, 0.2581)



Entry 3:
Cs2HfPdCl6: theoretical PXRD pattern (Cu Kα (λ = 1.5418 Å)), based on DFT lattice parameters and positions (GGA-PBE).
Neutral-atom scattering factors, no anomalous dispersion.

Main lines, in order of rising 2θ (15 to 90 degrees two-theta):
two_theta	intensity	(hkl)
23.3	100	1 1 2
24.4	44	2 0 0
31.6	28	0 0 4
34.8	45	2 2 0
42.3	42	3 1 2
47.7	34	2 2 4

Structure:
abc: 7.2867 7.2867 11.3413
angles: 90.00 90.00 90.00
Space group I4/mmm (No. 139)
Asymmetric unit:
Cs (0.0000, 0.5000, 0.2500)
Hf (0.0000, 0.0000, 0.0000)
Pd (0.0000, 0.0000, 0.5000)
Cl (0.0000, 0.0000, 0.2189)
Cl (0.2406, 0.2406, 0.0000)



Entry 4:
Cs2RbHfCl8: theoretical PXRD pattern (Cu Kα (λ = 1.5418 Å)), based on DFT lattice parameters and positions (GGA-PBE).
Neutral-atom scattering factors, no anomalous dispersion.

Main lines, in order of rising 2θ (15 to 90 degrees two-theta):
two_theta	intensity	(hkl)
18.5	77	1 -1 0
18.6	99	1 1 0
20.8	100	1 0 -2
24.1	78	0 2 0
32.2	84	-1 2 2
32.4	84	2 1 -2

Structure:
abc: 6.5067 7.3947 9.4803
angles: 90.77 104.99 90.14
Space group P-1 (No. 2)
Asymmetric unit:
Cs (0.1371, 0.0015, 0.2972)
Rb (0.5000, 0.5000, 0.0000)
Hf (0.5000, 0.5000, 0.5000)
Cl (0.2004, 0.4968, 0.2758)
Cl (0.3148, 0.9259, 0.9904)
Cl (0.3198, 0.2765, 0.6179)
Cl (0.3376, 0.7460, 0.6103)



Entry 5:
Cs2HgCl7: theoretical PXRD pattern (Cu Kα (λ = 1.5418 Å)), based on DFT lattice parameters and positions (GGA-PBE).
Neutral-atom scattering factors, no anomalous dispersion.

Main lines, in order of rising 2θ (15 to 90 degrees two-theta):
two_theta	intensity	(hkl)
22.8	100	1 1 2
23.6	45	2 0 0
31.4	29	0 0 4
33.6	51	2 2 0
41.0	44	3 1 2
46.6	36	2 2 4

Structure:
abc: 7.5455 7.5455 11.4032
angles: 90.00 90.00 90.00
Space group I4/mmm (No. 139)
Asymmetric unit:
Cs (0.0000, 0.5000, 0.2500)
Hg (0.0000, 0.0000, 0.0000)
Cl (0.0000, 0.0000, 0.2124)
Cl (0.0000, 0.0000, 0.5000)
Cl (0.2437, 0.2437, 0.5000)



Entry 6:
Cs8Hg6Cl: theoretical PXRD pattern (Cu Kα (λ = 1.5418 Å)), based on DFT lattice parameters and positions (GGA-PBE).
Neutral-atom scattering factors, no anomalous dispersion.

Main lines, in order of rising 2θ (15 to 90 degrees two-theta):
two_theta	intensity	(hkl)
17.4	55	0 2 1
22.8	84	3 -1 1
24.0	100	3 -2 2
28.1	60	2 1 4
29.1	96	2 -1 6
37.4	65	3 1 5

Structure:
abc: 12.0984 12.0984 21.3383
angles: 90.00 90.00 120.00
Space group R-3 (No. 148, hexagonal axes)
Asymmetric unit:
Cs (0.0000, 0.0000, 0.1743)
Cs (0.0358, 0.7802, 0.5951)
Hg (0.0044, 0.4260, 0.5578)
Cl (0.0000, 0.0000, 0.5000)